(1)
Theoretical XRD peak list of Ba4PrHoCu6O14 for Cu Kα (λ = 1.5418 Å), from a PBE-relaxed structure.
Kinematic intensities with the Lorentz-polarization factor, no thermal factor.

Top 10 peaks for 10° ≤ 2θ ≤ 80°, by angle:
2θ 32.02, I = 47; 2θ 32.38, I = 100; 2θ 39.78, I = 15; 2θ 45.80, I = 10; 2θ 46.02, I = 15; 2θ 46.97, I = 14; 2θ 57.22, I = 19; 2θ 57.37, I = 20; 2θ 57.98, I = 17; 2θ 67.87, I = 8

Structural model:
Cell lengths 3.8687, 3.9444, 23.7748 Å; angles 90.00, 90.00, 90.00 degrees
Element x y z (fractional)
Ba1 0.0000 0.0000 0.1595
Ba2 0.0000 0.0000 0.3397
Ba3 0.0000 0.0000 0.6603
Ba4 0.0000 0.0000 0.8405
Pr1 0.0000 0.0000 0.5000
Ho1 0.0000 0.0000 0.0000
Cu1 0.5000 0.5000 0.0736
Cu2 0.5000 0.5000 0.2498
Cu3 0.5000 0.5000 0.4232
Cu4 0.5000 0.5000 0.5768
Cu5 0.5000 0.5000 0.7502
Cu6 0.5000 0.5000 0.9264
O1 0.0000 0.5000 0.0594
O2 0.0000 0.5000 0.4352
O3 0.0000 0.5000 0.5648
O4 0.0000 0.5000 0.9406
O5 0.5000 0.0000 0.0598
O6 0.5000 0.0000 0.2495
O7 0.5000 0.0000 0.4346
O8 0.5000 0.0000 0.5654
O9 0.5000 0.0000 0.7505
O10 0.5000 0.0000 0.9402
O11 0.5000 0.5000 0.1703
O12 0.5000 0.5000 0.3289
O13 0.5000 0.5000 0.6711
O14 0.5000 0.5000 0.8297


(2)
Theoretical XRD peak list of MgSi2 for Cu Kα (λ = 1.5418 Å), from a PBE-relaxed structure.
Kinematic intensities with the Lorentz-polarization factor, no thermal factor.

Top 10 peaks for 10° ≤ 2θ ≤ 80°, by angle:
2θ 33.90, I = 20; 2θ 34.35, I = 100; 2θ 36.31, I = 21; 2θ 37.60, I = 12; 2θ 38.61, I = 11; 2θ 39.29, I = 12; 2θ 42.75, I = 15; 2θ 43.77, I = 26; 2θ 47.65, I = 19; 2θ 50.99, I = 22

Structural model:
Cell lengths 6.0109, 6.0109, 10.6082 Å; angles 94.25, 94.25, 34.67 degrees
Element x y z (fractional)
Mg1 0.0000 0.0000 0.0000
Mg2 0.0331 0.0331 0.4829
Mg3 0.3841 0.3841 0.2273
Mg4 0.7210 0.7210 0.6576
Si1 0.0548 0.0548 0.7505
Si2 0.0932 0.0932 0.2425
Si3 0.3209 0.3209 0.9261
Si4 0.3436 0.3436 0.4983
Si5 0.4156 0.4156 0.7270
Si6 0.6805 0.6805 0.9094
Si7 0.6924 0.6924 0.1444
Si8 0.7255 0.7255 0.4023


(3)
Theoretical XRD peak list of Ba2Cu2O5 for Cu Kα (λ = 1.5418 Å), from a PBE-relaxed structure.
Kinematic intensities with the Lorentz-polarization factor, no thermal factor.

Top 10 peaks for 10° ≤ 2θ ≤ 80°, by angle:
2θ 30.68, I = 100; 2θ 31.37, I = 27; 2θ 31.49, I = 25; 2θ 38.12, I = 16; 2θ 42.80, I = 14; 2θ 45.04, I = 28; 2θ 54.06, I = 17; 2θ 55.41, I = 19; 2θ 55.56, I = 17; 2θ 63.88, I = 15

Structural model:
Cell lengths 9.3602, 9.3602, 9.3602 Å; angles 50.94, 144.66, 144.53 degrees
Element x y z (fractional)
Ba1 0.0058 0.1149 0.1207
Ba2 0.0058 0.3851 0.3910
Ba3 0.9942 0.6149 0.6090
Ba4 0.9942 0.8851 0.8793
Cu1 0.4459 0.2407 0.7052
Cu2 0.5017 0.0017 0.5000
Cu3 0.5017 0.5017 0.0000
Cu4 0.5355 0.7407 0.2948
O1 0.9998 0.2457 0.7501
O2 0.9998 0.7497 0.2540
O3 0.0039 0.9584 0.5455
O4 0.4128 0.4584 0.4545
O5 0.4698 0.6501 0.1102
O6 0.4698 0.8597 0.3198
O7 0.4956 0.2497 0.2499
O8 0.4956 0.7457 0.7460
O9 0.5399 0.1501 0.6802
O10 0.5399 0.3597 0.8898


(4)
Theoretical XRD peak list of Na2LiNdCl6 for Cu Kα (λ = 1.5418 Å), from a PBE-relaxed structure.
Kinematic intensities with the Lorentz-polarization factor, no thermal factor.

Top 10 peaks for 10° ≤ 2θ ≤ 80°, by angle:
2θ 14.66, I = 91; 2θ 16.94, I = 100; 2θ 24.05, I = 42; 2θ 28.28, I = 74; 2θ 34.27, I = 93; 2θ 37.46, I = 43; 2θ 38.47, I = 46; 2θ 45.01, I = 23; 2θ 49.25, I = 60; 2θ 51.67, I = 23

Structural model:
Cell lengths 7.4005, 7.4005, 7.4005 Å; angles 60.00, 60.00, 60.00 degrees
Element x y z (fractional)
Na1 0.2500 0.2500 0.2500
Na2 0.7500 0.7500 0.7500
Li1 0.0000 0.0000 0.0000
Nd1 0.5000 0.5000 0.5000
Cl1 0.2414 0.2414 0.7586
Cl2 0.2414 0.7586 0.2414
Cl3 0.2414 0.7586 0.7586
Cl4 0.7586 0.2414 0.2414
Cl5 0.7586 0.2414 0.7586
Cl6 0.7586 0.7586 0.2414


(5)
Theoretical XRD peak list of SmNi2Sn2 for Cu Kα (λ = 1.5418 Å), from a PBE-relaxed structure.
Kinematic intensities with the Lorentz-polarization factor, no thermal factor.

Top 10 peaks for 10° ≤ 2θ ≤ 80°, by angle:
2θ 28.72, I = 39; 2θ 32.70, I = 100; 2θ 33.50, I = 48; 2θ 41.06, I = 60; 2θ 45.20, I = 16; 2θ 48.00, I = 19; 2θ 53.45, I = 51; 2θ 59.47, I = 20; 2θ 60.72, I = 18; 2θ 64.97, I = 16

Structural model:
Cell lengths 6.1026, 6.1026, 6.1026 Å; angles 137.78, 137.78, 61.25 degrees
Element x y z (fractional)
Sm1 0.0000 0.0000 0.0000
Ni1 0.2500 0.7500 0.5000
Ni2 0.7500 0.2500 0.5000
Sn1 0.3653 0.3653 0.0000
Sn2 0.6347 0.6347 0.0000


(6)
Theoretical XRD peak list of Pm3Zn for Cu Kα (λ = 1.5418 Å), from a PBE-relaxed structure.
Kinematic intensities with the Lorentz-polarization factor, no thermal factor.

Top 10 peaks for 10° ≤ 2θ ≤ 80°, by angle:
2θ 17.72, I = 2; 2θ 20.60, I = 6; 2θ 31.96, I = 100; 2θ 35.88, I = 18; 2θ 37.66, I = 32; 2θ 52.99, I = 24; 2θ 54.31, I = 11; 2θ 62.04, I = 15; 2θ 64.42, I = 26; 2θ 66.82, I = 12

Structural model:
Cell lengths 6.0386, 6.0386, 6.0386 Å; angles 133.39, 133.39, 68.04 degrees
Element x y z (fractional)
Pm1 0.0000 0.0000 0.0000
Pm2 0.2500 0.7500 0.5000
Pm3 0.7500 0.2500 0.5000
Zn1 0.5000 0.5000 0.0000


(7)
Theoretical XRD peak list of Ba2YTi3O8 for Cu Kα (λ = 1.5418 Å), from a PBE-relaxed structure.
Kinematic intensities with the Lorentz-polarization factor, no thermal factor.

Top 10 peaks for 10° ≤ 2θ ≤ 80°, by angle:
2θ 22.27, I = 18; 2θ 31.69, I = 46; 2θ 32.25, I = 100; 2θ 39.54, I = 29; 2θ 45.43, I = 34; 2θ 47.07, I = 11; 2θ 56.81, I = 38; 2θ 57.86, I = 18; 2θ 66.21, I = 10; 2θ 67.49, I = 14

Structural model:
Cell lengths 3.9925, 3.9925, 11.5848 Å; angles 90.00, 90.00, 90.00 degrees
Element x y z (fractional)
Ba1 0.0000 0.0000 0.1699
Ba2 0.0000 0.0000 0.8301
Y1 0.0000 0.0000 0.5000
Ti1 0.5000 0.5000 0.0000
Ti2 0.5000 0.5000 0.3522
Ti3 0.5000 0.5000 0.6478
O1 0.0000 0.5000 0.0000
O2 0.0000 0.5000 0.3722
O3 0.0000 0.5000 0.6278
O4 0.5000 0.0000 0.0000
O5 0.5000 0.0000 0.3722
O6 0.5000 0.0000 0.6278
O7 0.5000 0.5000 0.1835
O8 0.5000 0.5000 0.8165


(8)
Theoretical XRD peak list of K3Na3Nb8P5O35 for Cu Kα (λ = 1.5418 Å), from a PBE-relaxed structure.
Kinematic intensities with the Lorentz-polarization factor, no thermal factor.

Top 10 peaks for 10° ≤ 2θ ≤ 80°, by angle:
2θ 11.54, I = 38; 2θ 17.27, I = 36; 2θ 19.42, I = 69; 2θ 22.65, I = 29; 2θ 23.14, I = 43; 2θ 25.30, I = 31; 2θ 26.08, I = 100; 2θ 30.00, I = 88; 2θ 30.43, I = 47; 2θ 32.68, I = 42

Structural model:
Cell lengths 11.5457, 11.5457, 11.5457 Å; angles 46.65, 46.65, 46.65 degrees
Element x y z (fractional)
K1 0.0000 0.4116 0.5884
K2 0.4116 0.5884 0.0000
K3 0.5884 0.0000 0.4116
Na1 0.2854 0.5000 0.7146
Na2 0.5000 0.7146 0.2854
Na3 0.7146 0.2854 0.5000
Nb1 0.0697 0.8223 0.2983
Nb2 0.1777 0.9303 0.7017
Nb3 0.2341 0.2341 0.2341
Nb4 0.2983 0.0697 0.8223
Nb5 0.7017 0.1777 0.9303
Nb6 0.7659 0.7659 0.7659
Nb7 0.8223 0.2983 0.0697
Nb8 0.9303 0.7017 0.1777
P1 0.0570 0.9430 0.5000
P2 0.4075 0.4075 0.4075
P3 0.5000 0.0570 0.9430
P4 0.5925 0.5925 0.5925
P5 0.9430 0.5000 0.0570
O1 0.0000 0.7617 0.2383
O2 0.0447 0.1320 0.3878
O3 0.0567 0.2486 0.8992
O4 0.0832 0.4434 0.2712
O5 0.1008 0.7514 0.9433
O6 0.1320 0.3878 0.0447
O7 0.1536 0.8373 0.6146
O8 0.1627 0.8464 0.3854
O9 0.2383 0.0000 0.7617
O10 0.2486 0.8992 0.0567
O11 0.2642 0.5655 0.3344
O12 0.2712 0.0832 0.4434
O13 0.3344 0.2642 0.5655
O14 0.3854 0.1627 0.8464
O15 0.3878 0.0447 0.1320
O16 0.4345 0.7358 0.6656
O17 0.4434 0.2712 0.0832
O18 0.4565 0.4565 0.4565
O19 0.5435 0.5435 0.5435
O20 0.5566 0.9168 0.7288
O21 0.5655 0.3344 0.2642
O22 0.6122 0.8680 0.9553
O23 0.6146 0.1536 0.8373
O24 0.6656 0.4345 0.7358
O25 0.7288 0.5566 0.9168
O26 0.7358 0.6656 0.4345
O27 0.7514 0.9433 0.1008
O28 0.7617 0.2383 0.0000
O29 0.8373 0.6146 0.1536
O30 0.8464 0.3854 0.1627
O31 0.8680 0.9553 0.6122
O32 0.8992 0.0567 0.2486
O33 0.9168 0.7288 0.5566
O34 0.9433 0.1008 0.7514
O35 0.9553 0.6122 0.8680